Structure and calculated PXRD pattern of Y6O5F8 (a structure optimized by DFT (GGA-PBE); Cu Kα (weighted mean of Kα1 and Kα2)).
Peak positions follow from Bragg's law for the DFT cell and can differ from measured ones.

Peak list (6 most intense, 10 to 90 degrees two-theta, in order of rising 2θ)
2theta, d/Å, I/Imax
27.09, 3.291, 98
27.27, 3.270, 100
27.97, 3.190, 88
28.70, 3.111, 84
46.72, 1.944, 63
47.39, 1.918, 48

Structural model:
```
Y6O5F8
1.0
5.5168 0.0000 0.0000
0.0734 5.5773 0.0000
0.2337 2.2686 8.4225
Y O F
6 5 8
Direct
0.0000 0.0000 0.0000 Y
0.0038 0.2670 0.3699 Y
0.5671 0.4650 0.0338 Y
0.5711 0.1599 0.6925 Y
0.5774 0.7976 0.3500 Y
0.9777 0.6485 0.6863 Y
0.7557 0.8056 0.8653 O
0.7611 0.9758 0.5264 O
0.7675 0.1201 0.1894 O
0.7717 0.4857 0.5137 O
0.7965 0.3156 0.8525 O
0.2259 0.9330 0.7799 F
0.2276 0.2209 0.1370 F
0.2286 0.3685 0.5723 F
0.2324 0.8995 0.4583 F
0.3084 0.4297 0.8424 F
0.3667 0.8082 0.0862 F
0.4207 0.4389 0.3061 F
0.8680 0.6270 0.1850 F
```

***

Structure and calculated PXRD pattern of Y7O6F9 (a structure optimized by DFT (GGA-PBE); Cu Kα (weighted mean of Kα1 and Kα2)).
Peak positions follow from Bragg's law for the DFT cell and can differ from measured ones.

Peak list (6 most intense, 10 to 90 degrees two-theta, in order of rising 2θ)
2theta, d/Å, I/Imax
27.77, 3.212, 100
39.91, 2.259, 14
45.88, 1.978, 20
46.21, 1.965, 15
46.36, 1.958, 17
54.34, 1.688, 14

Structural model:
```
Y7O6F9
1.0
19.5208 -2.8063 0.0000
19.5208 2.8063 0.0000
-0.0070 0.0000 5.5022
Y O F
14 12 18
Direct
0.0353 0.0353 0.2071 Y
0.0673 0.1451 0.7989 Y
0.1960 0.3028 0.7770 Y
0.1979 0.1551 0.2078 Y
0.3196 0.3275 0.2114 Y
0.3599 0.4282 0.7982 Y
0.4637 0.4658 0.2075 Y
0.5342 0.5363 0.7925 Y
0.5718 0.6401 0.2018 Y
0.6725 0.6804 0.7886 Y
0.6972 0.8040 0.2230 Y
0.8449 0.8021 0.7922 Y
0.8549 0.9327 0.2011 Y
0.9647 0.9647 0.7929 Y
0.0096 0.5582 0.0359 O
0.0990 0.6147 0.0302 O
0.1489 0.7075 0.0212 O
0.2622 0.7378 0.0000 O
0.2925 0.8511 0.9788 O
0.3853 0.9010 0.9698 O
0.4418 0.9904 0.9641 O
0.5972 0.1125 0.9708 O
0.6493 0.2067 0.9791 O
0.7620 0.2380 0.0000 O
0.7933 0.3507 0.0209 O
0.8875 0.4028 0.0292 O
0.0587 0.3301 0.5900 F
0.1589 0.8411 0.5000 F
0.1810 0.4321 0.5902 F
0.2546 0.0066 0.4460 F
0.2627 0.6081 0.5357 F
0.3285 0.1736 0.3926 F
0.3919 0.7373 0.4643 F
0.4886 0.2515 0.4430 F
0.5110 0.0605 0.9518 F
0.5679 0.8190 0.4098 F
0.6581 0.3419 0.5000 F
0.6699 0.9413 0.4100 F
0.7485 0.5114 0.5570 F
0.7620 0.1085 0.4654 F
0.8264 0.6715 0.6074 F
0.8915 0.2380 0.5346 F
0.9395 0.4890 0.0482 F
0.9934 0.7454 0.5540 F
```

***

Structure and calculated PXRD pattern of YOF (a structure optimized by DFT (GGA-PBE); Cu Kα (weighted mean of Kα1 and Kα2)).
Peak positions follow from Bragg's law for the DFT cell and can differ from measured ones.

Peak list (6 most intense, 10 to 90 degrees two-theta, in order of rising 2θ)
2theta, d/Å, I/Imax
28.13, 3.172, 100
32.67, 2.741, 12
46.71, 1.945, 40
46.88, 1.938, 24
55.57, 1.654, 28
86.97, 1.120, 11

Structural model:
```
YOF
1.0
3.8760 0.0000 0.0000
0.0000 3.8760 0.0000
0.0000 0.0000 5.5201
Y O F
2 2 2
Direct
0.2500 0.2500 0.2100 Y
0.7500 0.7500 0.7900 Y
0.2500 0.7500 0.0000 O
0.7500 0.2500 0.0000 O
0.2500 0.7500 0.5000 F
0.7500 0.2500 0.5000 F
```

***

Structure and calculated PXRD pattern of Y5O4F7 (a structure optimized by DFT (GGA-PBE); Cu Kα (weighted mean of Kα1 and Kα2)).
Peak positions follow from Bragg's law for the DFT cell and can differ from measured ones.

Peak list (6 most intense, 10 to 90 degrees two-theta, in order of rising 2θ)
2theta, d/Å, I/Imax
27.76, 3.214, 100
31.90, 2.805, 25
39.98, 2.255, 14
45.73, 1.984, 21
46.28, 1.962, 24
54.31, 1.689, 22

Structural model:
```
Y5O4F7
1.0
14.0101 -2.8091 0.0000
14.0101 2.8091 0.0000
-0.0137 0.0000 5.4818
Y O F
10 8 14
Direct
0.0491 0.0491 0.2069 Y
0.1160 0.1785 0.7876 Y
0.2682 0.2333 0.2235 Y
0.2954 0.4096 0.7924 Y
0.4540 0.4468 0.2054 Y
0.5532 0.5460 0.7946 Y
0.5904 0.7046 0.2076 Y
0.7667 0.7318 0.7765 Y
0.8215 0.8840 0.2124 Y
0.9509 0.9509 0.7931 Y
0.0357 0.5594 0.0374 O
0.1193 0.6806 0.0272 O
0.2647 0.7353 0.0000 O
0.3194 0.8807 0.9728 O
0.4406 0.9643 0.9626 O
0.6166 0.1780 0.9740 O
0.7632 0.2368 0.0000 O
0.8220 0.3834 0.0260 O
0.1360 0.3608 0.6092 F
0.1482 0.8518 0.5000 F
0.2458 0.5798 0.5443 F
0.2588 0.0850 0.4068 F
0.4202 0.7542 0.4557 F
0.4249 0.2288 0.4091 F
0.5383 0.0620 0.9515 F
0.6392 0.8640 0.3908 F
0.6490 0.3510 0.5000 F
0.7541 0.0740 0.4517 F
0.7712 0.5751 0.5909 F
0.9150 0.7412 0.5932 F
0.9260 0.2459 0.5483 F
0.9380 0.4617 0.0485 F
```

***

Structure and calculated PXRD pattern of YOF (a structure optimized by DFT (GGA-PBE); Cu Kα (weighted mean of Kα1 and Kα2)).
Peak positions follow from Bragg's law for the DFT cell and can differ from measured ones.

Peak list (6 most intense, 10 to 90 degrees two-theta, in order of rising 2θ)
2theta, d/Å, I/Imax
25.98, 3.430, 47
28.76, 3.105, 100
34.73, 2.583, 44
44.47, 2.037, 31
44.70, 2.027, 45
56.19, 1.637, 26

Structural model:
```
YOF
1.0
3.5620 -2.0371 0.0000
3.5620 2.0371 0.0000
-1.4474 0.0000 5.1653
Y O F
2 2 2
Direct
0.2113 0.2113 0.2325 Y
0.7887 0.7887 0.7675 Y
0.1228 0.1228 0.8266 O
0.8772 0.8772 0.1734 O
0.4024 0.4024 0.6484 F
0.5976 0.5976 0.3516 F
```

***

Structure and calculated PXRD pattern of Y5O4F7 (a structure optimized by DFT (GGA-PBE); Cu Kα (weighted mean of Kα1 and Kα2)).
Peak positions follow from Bragg's law for the DFT cell and can differ from measured ones.

Peak list (6 most intense, 10 to 90 degrees two-theta, in order of rising 2θ)
2theta, d/Å, I/Imax
15.15, 5.849, 46
22.86, 3.889, 82
24.75, 3.597, 50
25.01, 3.561, 32
28.28, 3.156, 59
30.39, 2.941, 100

Structural model:
```
Y5O4F7
1.0
6.7877 0.0000 0.0000
0.0000 8.8562 0.0000
-2.6344 0.0000 7.7890
Y O F
10 8 14
Direct
0.0000 0.0162 0.0000 Y
0.0000 0.9838 0.5000 Y
0.2443 0.2825 0.3129 Y
0.2443 0.7175 0.8129 Y
0.5168 0.0771 0.6799 Y
0.5168 0.9229 0.1799 Y
0.6255 0.2818 0.1067 Y
0.6255 0.7182 0.6067 Y
0.9274 0.3501 0.5670 Y
0.9274 0.6499 0.0670 Y
0.2121 0.2050 0.5827 O
0.2121 0.7950 0.0827 O
0.3598 0.1396 0.1303 O
0.3598 0.8604 0.6303 O
0.6483 0.0710 0.9647 O
0.6483 0.9290 0.4647 O
0.8316 0.1967 0.3489 O
0.8316 0.8033 0.8489 O
0.0334 0.4854 0.3176 F
0.0334 0.5146 0.8176 F
0.1581 0.0282 0.3037 F
0.1581 0.9718 0.8037 F
0.3822 0.4404 0.1646 F
0.3822 0.5596 0.6646 F
0.5613 0.2776 0.5161 F
0.5613 0.7224 0.0161 F
0.6984 0.4683 0.9521 F
0.6984 0.5317 0.4521 F
0.8708 0.1565 0.7327 F
0.8708 0.8435 0.2327 F
0.9723 0.2640 0.0743 F
0.9723 0.7360 0.5743 F
```

***

Structure and calculated PXRD pattern of ZnO2F2 (a structure optimized by DFT (GGA-PBE); Cu Kα (weighted mean of Kα1 and Kα2)).
Peak positions follow from Bragg's law for the DFT cell and can differ from measured ones.

Peak list (6 most intense, 10 to 90 degrees two-theta, in order of rising 2θ)
2theta, d/Å, I/Imax
17.31, 5.123, 75
20.73, 4.285, 42
24.17, 3.682, 67
29.82, 2.996, 100
34.73, 2.583, 29
46.17, 1.966, 23

Structural model:
```
ZnO2F2
1.0
3.0750 0.0000 0.0000
-0.7769 6.0937 0.0000
-1.3223 -1.3515 7.3646
Zn O F
2 4 4
Direct
0.0000 0.0000 0.0000 Zn
0.2029 0.5450 0.5012 Zn
0.0970 0.1135 0.5017 O
0.0968 0.4303 0.9881 O
0.3413 0.9691 0.4956 O
0.8640 0.5767 0.0133 O
0.4275 0.9893 0.8333 F
0.5789 0.0189 0.1695 F
0.6207 0.5271 0.3314 F
0.7726 0.5558 0.6686 F
```